ErMn2O4: computed powder diffractogram (a wavelength of 1.5418 Å), based on the PBE+U geometry in Alexandria.
Intensities are scaled so that the largest is 100.

Top 10 peaks for 10° ≤ 2θ ≤ 90°, by angle:
(hkl), two_theta, d (Å), Rel. int.
0 0 2, 17.74, 4.999, 25
2 0 1, 19.39, 4.579, 72
1 1 1, 30.89, 2.895, 50
2 0 3, 31.99, 2.798, 100
1 1 2, 34.67, 2.588, 51
4 0 0, 34.84, 2.575, 31
3 1 1, 39.78, 2.266, 67
3 1 2, 42.87, 2.109, 37
0 0 6, 55.08, 1.667, 35
5 1 2, 56.38, 1.632, 25

Cell and atoms:
a b c (Å): 10.3016 3.1639 9.9970
angles (deg): 90.00 90.00 90.00
Atoms (fractional coordinates):
1 Er 0.1390 0.2068 0.0000
2 Er 0.3610 0.2068 0.5000
3 Er 0.6390 0.7932 0.0000
4 Er 0.8610 0.7932 0.5000
5 Mn 0.1144 0.6959 0.3118
6 Mn 0.1236 0.7327 0.6746
7 Mn 0.3764 0.7327 0.1746
8 Mn 0.3856 0.6959 0.8118
9 Mn 0.6144 0.3041 0.3118
10 Mn 0.6236 0.2673 0.6746
11 Mn 0.8764 0.2673 0.1746
12 Mn 0.8856 0.3041 0.8118
13 O 0.0202 0.6834 0.1224
14 O 0.0466 0.7374 0.8546
15 O 0.2060 0.7097 0.4977
16 O 0.2446 0.1762 0.2287
17 O 0.2554 0.1762 0.7287
18 O 0.2940 0.7097 0.9977
19 O 0.4534 0.7374 0.3546
20 O 0.4798 0.6834 0.6224
21 O 0.5202 0.3166 0.1224
22 O 0.5466 0.2626 0.8546
23 O 0.7060 0.2903 0.4977
24 O 0.7446 0.8238 0.2287
25 O 0.7554 0.8238 0.7287
26 O 0.7940 0.2903 0.9977
27 O 0.9534 0.2626 0.3546
28 O 0.9798 0.3166 0.6224